(1)
Starting from a cell relaxed with GGA-PBE, the PXRD pattern of Mg7Cd was simulated for Cu Kα X-rays.
Intensities are scaled so that the largest is 100.

Structural model:
```
data_Mg7Cd
_cell_length_a 6.3456
_cell_length_b 6.3456
_cell_length_c 5.1573
_cell_angle_alpha 90.00
_cell_angle_beta 90.00
_cell_angle_gamma 120.00
_symmetry_space_group_name_H-M 'P -6 m 2'
_symmetry_Int_Tables_number 187
_symmetry_space_group_name_Hall 'P -6 2'
loop_
_atom_site_label
_atom_site_type_symbol
_atom_site_fract_x
_atom_site_fract_y
_atom_site_fract_z
Mg1 Mg 0.0000 0.0000 0.0000
Mg2 Mg 0.0003 0.5002 0.0000
Mg3 Mg 0.3326 0.1663 0.5000
Cd1 Cd 0.3333 0.6667 0.5000
```

Largest 6 diffraction maxima, by angle, 10 to 90 degrees two-theta:
2θ = 16.13°, I = 46, hkl 1 0 0; 2θ = 23.66°, I = 38, hkl 1 0 1; 2θ = 32.59°, I = 29, hkl 2 0 0; 2θ = 34.79°, I = 26, hkl 0 0 2; 2θ = 37.07°, I = 100, hkl 2 0 1; 2θ = 63.87°, I = 19, hkl 2 0 3

=====

(2)
Starting from a cell relaxed with GGA-PBE, the PXRD pattern of ZnH2O2 was simulated for Cu Kα X-rays.
Intensities are scaled so that the largest is 100.

Structural model:
```
data_ZnH2O2
_cell_length_a 4.8718
_cell_length_b 5.0635
_cell_length_c 8.7523
_cell_angle_alpha 90.00
_cell_angle_beta 90.00
_cell_angle_gamma 90.00
_symmetry_space_group_name_H-M 'P 21 21 21'
_symmetry_Int_Tables_number 19
_symmetry_space_group_name_Hall 'P 2ac 2ab'
loop_
_atom_site_label
_atom_site_type_symbol
_atom_site_fract_x
_atom_site_fract_y
_atom_site_fract_z
Zn1 Zn 0.0676 0.1422 0.1234
H1 H 0.0309 0.1419 0.8473
H2 H 0.2426 0.3248 0.6584
O1 O 0.1209 0.6118 0.5771
O2 O 0.1883 0.8161 0.2290
```

Largest 6 diffraction maxima, by angle, 10 to 90 degrees two-theta:
2θ = 20.26°, I = 96, hkl 0 1 1; 2θ = 20.87°, I = 77, hkl 1 0 1; 2θ = 27.38°, I = 100, hkl 1 0 2; 2θ = 32.70°, I = 46, hkl 1 1 2; 2θ = 40.16°, I = 66, hkl 1 2 0; 2θ = 58.90°, I = 33, hkl 1 2 4

=====

(3)
Starting from a cell relaxed with GGA-PBE, the PXRD pattern of SmAg3 was simulated for Cu Kα X-rays.
Intensities are scaled so that the largest is 100.

Structural model:
```
data_SmAg3
_cell_length_a 6.4546
_cell_length_b 6.4546
_cell_length_c 4.8741
_cell_angle_alpha 90.00
_cell_angle_beta 90.00
_cell_angle_gamma 120.00
_symmetry_space_group_name_H-M 'P 63/m m c'
_symmetry_Int_Tables_number 194
_symmetry_space_group_name_Hall '-P 6c 2c'
loop_
_atom_site_label
_atom_site_type_symbol
_atom_site_fract_x
_atom_site_fract_y
_atom_site_fract_z
Sm1 Sm 0.3333 0.6667 0.2500
Ag1 Ag 0.1534 0.3068 0.7500
```

Largest 6 diffraction maxima, by angle, 10 to 90 degrees two-theta:
2θ = 32.02°, I = 25, hkl 2 0 0; 2θ = 36.88°, I = 23, hkl 0 0 2; 2θ = 37.08°, I = 100, hkl 2 0 1; 2θ = 57.08°, I = 17, hkl 2 2 0; 2θ = 66.58°, I = 17, hkl 2 0 3; 2θ = 69.92°, I = 18, hkl 2 2 2

=====

(4)
Starting from a cell relaxed with GGA-PBE, the PXRD pattern of SrSmCl2F2 was simulated for Cu Kα X-rays.
Intensities are scaled so that the largest is 100.

Structural model:
```
data_SrSmCl2F2
_cell_length_a 4.0175
_cell_length_b 4.0175
_cell_length_c 7.1543
_cell_angle_alpha 90.00
_cell_angle_beta 90.00
_cell_angle_gamma 90.00
_symmetry_space_group_name_H-M 'P 4 m m'
_symmetry_Int_Tables_number 99
_symmetry_space_group_name_Hall 'P 4 -2'
loop_
_atom_site_label
_atom_site_type_symbol
_atom_site_fract_x
_atom_site_fract_y
_atom_site_fract_z
Sr1 Sr 0.0000 0.0000 0.0000
Sm1 Sm 0.5000 0.5000 0.4317
Cl1 Cl 0.0000 0.0000 0.5488
Cl2 Cl 0.5000 0.5000 0.8360
F1 F 0.0000 0.5000 0.2047
```

Largest 6 diffraction maxima, by angle, 10 to 90 degrees two-theta:
2θ = 25.43°, I = 100, hkl 1 0 1; 2θ = 31.49°, I = 70, hkl 1 1 0; 2θ = 33.54°, I = 46, hkl 1 0 2; 2θ = 40.55°, I = 71, hkl 1 1 2; 2θ = 44.16°, I = 37, hkl 1 0 3; 2θ = 45.14°, I = 41, hkl 2 0 0

=====

(5)
Starting from a cell relaxed with GGA-PBE, the PXRD pattern of La2Ce2O7 was simulated for Cu Kα X-rays.
Intensities are scaled so that the largest is 100.

Structural model:
```
data_La2Ce2O7
_cell_length_a 8.4341
_cell_length_b 6.0068
_cell_length_c 14.6770
_cell_angle_alpha 90.00
_cell_angle_beta 98.47
_cell_angle_gamma 90.00
_symmetry_space_group_name_H-M 'P 1 21 1'
_symmetry_Int_Tables_number 4
_symmetry_space_group_name_Hall 'P 2yb'
loop_
_atom_site_label
_atom_site_type_symbol
_atom_site_fract_x
_atom_site_fract_y
_atom_site_fract_z
La1 La 0.1407 0.0000 0.0609
La2 La 0.2343 0.4395 0.4173
La3 La 0.2838 0.9190 0.6239
La4 La 0.3577 0.4188 0.9054
Ce1 Ce 0.0294 0.4337 0.6153
Ce2 Ce 0.0749 0.9385 0.8155
Ce3 Ce 0.4157 0.4483 0.1783
Ce4 Ce 0.4713 0.9359 0.3793
O1 O 0.0021 0.0929 0.6700
O2 O 0.0725 0.7235 0.5210
O3 O 0.0879 0.2207 0.9188
O4 O 0.1311 0.7230 0.9347
O5 O 0.1389 0.6522 0.7237
O6 O 0.1746 0.3146 0.1885
O7 O 0.2242 0.0496 0.3924
O8 O 0.2709 0.3131 0.5786
O9 O 0.3238 0.0830 0.7985
O10 O 0.3755 0.7697 0.1130
O11 O 0.4058 0.2373 0.0486
O12 O 0.4218 0.5921 0.3296
O13 O 0.4427 0.7217 0.5222
O14 O 0.4727 0.6625 0.7263
```

Largest 6 diffraction maxima, by angle, 10 to 90 degrees two-theta:
2θ = 27.44°, I = 100, hkl 2 1 1; 2θ = 28.74°, I = 40, hkl 0 1 4; 2θ = 29.75°, I = 49, hkl 0 2 0; 2θ = 30.12°, I = 97, hkl 2 1 -3; 2θ = 42.90°, I = 43, hkl 4 0 -1; 2θ = 53.05°, I = 54, hkl 4 2 -1

=====

(6)
Starting from a cell relaxed with GGA-PBE, the PXRD pattern of BeH6N2F2 was simulated for Cu Kα X-rays.
Intensities are scaled so that the largest is 100.

Structural model:
```
data_BeH6N2F2
_cell_length_a 5.0134
_cell_length_b 7.1480
_cell_length_c 10.4116
_cell_angle_alpha 90.00
_cell_angle_beta 92.77
_cell_angle_gamma 90.00
_symmetry_space_group_name_H-M 'P 1 21/c 1'
_symmetry_Int_Tables_number 14
_symmetry_space_group_name_Hall '-P 2ybc'
loop_
_atom_site_label
_atom_site_type_symbol
_atom_site_fract_x
_atom_site_fract_y
_atom_site_fract_z
Be1 Be 0.1356 0.1368 0.1846
H1 H 0.1918 0.0489 0.6475
H2 H 0.2081 0.6799 0.6692
H3 H 0.2392 0.5859 0.5261
H4 H 0.2407 0.1632 0.5123
H5 H 0.4773 0.1597 0.6281
H6 H 0.4842 0.5648 0.6380
N1 N 0.2749 0.1679 0.6108
N2 N 0.2807 0.5648 0.6232
F1 F 0.1694 0.6330 0.3516
F2 F 0.1926 0.1459 0.3312
```

Largest 6 diffraction maxima, by angle, 10 to 90 degrees two-theta:
2θ = 17.05°, I = 20, hkl 0 0 2; 2θ = 31.71°, I = 100, hkl 1 2 -1; 2θ = 34.50°, I = 34, hkl 0 0 4; 2θ = 35.86°, I = 30, hkl 2 0 0; 2θ = 39.88°, I = 25, hkl 1 2 -3; 2θ = 41.06°, I = 29, hkl 1 2 3